Tl2Te3O7: theoretical powder XRD pattern (Cu Kα X-rays), based on a structure optimized by DFT (PBE).
Lines closer than 0.1° are merged.

The 12 most intense peaks (2θ from 5° to 70°), by intensity:
2θ/deg  I (rel.)
25.28  100
27.71  80
27.87  78
30.24  76
26.00  73
29.88  70
28.02  41
38.94  40
36.99  29
32.12  24
24.56  24
51.05  20

Crystal structure
abc: 6.959 7.681 10.453
angles: 93.50 109.31 111.84
Positions (direct):
1 Tl 0.114 0.356 0.168
2 Tl 0.309 0.565 0.564
3 Tl 0.691 0.435 0.436
4 Tl 0.886 0.644 0.832
5 Te 0.147 0.854 0.238
6 Te 0.246 0.006 0.666
7 Te 0.490 0.708 0.990
8 Te 0.510 0.292 0.010
9 Te 0.754 0.994 0.334
10 Te 0.853 0.146 0.762
11 O 0.070 0.973 0.371
12 O 0.098 0.740 0.632
13 O 0.186 0.657 0.325
14 O 0.240 0.659 0.037
15 O 0.311 0.036 0.865
16 O 0.347 0.405 0.879
17 O 0.454 0.042 0.307
18 O 0.546 0.958 0.693
19 O 0.653 0.595 0.121
20 O 0.689 0.964 0.135
21 O 0.760 0.341 0.963
22 O 0.814 0.343 0.675
23 O 0.902 0.260 0.368
24 O 0.930 0.027 0.629

Tl2TeO3: theoretical powder XRD pattern (Cu Kα X-rays), based on a structure optimized by DFT (PBE).
Lines closer than 0.1° are merged.

The 12 most intense peaks (2θ from 5° to 70°), by intensity:
2θ/deg  I (rel.)
27.03  100
29.18  21
31.46  21
33.17  19
53.36  17
50.44  15
55.61  14
43.44  14
46.36  14
55.73  13
44.75  13
8.89  10

Crystal structure
abc: 12.241 17.062 5.402
angles: 90.00 90.00 90.00
Positions (direct):
1 Tl 0.123 0.170 0.245
2 Tl 0.123 0.330 0.755
3 Tl 0.129 0.501 0.242
4 Tl 0.129 0.999 0.758
5 Tl 0.371 0.501 0.758
6 Tl 0.371 0.999 0.242
7 Tl 0.377 0.170 0.755
8 Tl 0.377 0.330 0.245
9 Tl 0.623 0.670 0.755
10 Tl 0.623 0.830 0.245
11 Tl 0.629 0.001 0.758
12 Tl 0.629 0.499 0.242
13 Tl 0.871 0.001 0.242
14 Tl 0.871 0.499 0.758
15 Tl 0.877 0.670 0.245
16 Tl 0.877 0.830 0.755
17 Te 0.090 0.657 0.720
18 Te 0.090 0.843 0.280
19 Te 0.410 0.657 0.280
20 Te 0.410 0.843 0.720
21 Te 0.590 0.157 0.280
22 Te 0.590 0.343 0.720
23 Te 0.910 0.157 0.720
24 Te 0.910 0.343 0.280
25 O 0.058 0.186 0.782
26 O 0.058 0.314 0.218
27 O 0.077 0.549 0.797
28 O 0.077 0.951 0.203
29 O 0.081 0.651 0.369
30 O 0.081 0.849 0.631
31 O 0.419 0.651 0.631
32 O 0.419 0.849 0.369
33 O 0.423 0.549 0.203
34 O 0.423 0.951 0.797
35 O 0.442 0.186 0.218
36 O 0.442 0.314 0.782
37 O 0.558 0.686 0.218
38 O 0.558 0.814 0.782
39 O 0.577 0.049 0.203
40 O 0.577 0.451 0.797
41 O 0.581 0.151 0.631
42 O 0.581 0.349 0.369
43 O 0.919 0.151 0.369
44 O 0.919 0.349 0.631
45 O 0.923 0.049 0.797
46 O 0.923 0.451 0.203
47 O 0.942 0.686 0.782
48 O 0.942 0.814 0.218

TlTeO2: theoretical powder XRD pattern (Cu Kα X-rays), based on a structure optimized by DFT (PBE).
Lines closer than 0.1° are merged.

The 12 most intense peaks (2θ from 5° to 70°), by intensity:
2θ/deg  I (rel.)
27.91  100
27.49  99
29.90  47
32.81  43
33.48  40
56.74  27
55.14  25
44.97  22
45.49  21
31.02  18
55.87  18
47.06  15

Crystal structure
abc: 5.355 5.978 12.062
angles: 90.00 115.16 90.00
Positions (direct):
1 Tl 0.146 0.196 0.132
2 Tl 0.146 0.804 0.632
3 Tl 0.854 0.196 0.368
4 Tl 0.854 0.804 0.868
5 Te 0.371 0.304 0.881
6 Te 0.371 0.696 0.381
7 Te 0.629 0.304 0.619
8 Te 0.629 0.696 0.119
9 O 0.038 0.230 0.895
10 O 0.038 0.770 0.395
11 O 0.377 0.302 0.449
12 O 0.377 0.698 0.949
13 O 0.623 0.302 0.051
14 O 0.623 0.698 0.551
15 O 0.962 0.230 0.605
16 O 0.962 0.770 0.105

TlTeO4: theoretical powder XRD pattern (Cu Kα X-rays), based on a structure optimized by DFT (PBE).
Lines closer than 0.1° are merged.

The 12 most intense peaks (2θ from 5° to 70°), by intensity:
2θ/deg  I (rel.)
25.22  100
31.49  46
31.21  24
32.27  22
48.15  18
48.73  18
47.99  18
49.63  17
51.78  16
35.51  15
36.42  13
61.27  10

Crystal structure
abc: 6.112 5.056 5.917
angles: 90.00 110.32 90.00
Positions (direct):
1 Tl 0.000 0.000 0.000
2 Tl 0.000 0.500 0.500
3 Te 0.500 0.000 0.500
4 Te 0.500 0.500 0.000
5 O 0.177 0.160 0.374
6 O 0.177 0.340 0.874
7 O 0.375 0.718 0.684
8 O 0.375 0.782 0.184
9 O 0.625 0.218 0.816
10 O 0.625 0.282 0.316
11 O 0.823 0.660 0.126
12 O 0.823 0.840 0.626